(1)
This entry pairs a crystal structure of V3P2O8 with its computed powder diffraction line list. Radiation: Cu Kα (λ = 1.5418 Å). Structure: DFT lattice parameters and positions (PBE+U).
Peak positions follow from Bragg's law for the DFT cell and can differ from measured ones.

abc: 4.900 6.146 10.621
angles: 90.76 90.03 90.03
Positions (direct):
1 V 0.000 0.000 0.000
2 V 0.009 0.255 0.725
3 V 0.489 0.254 0.225
4 V 0.498 0.002 0.502
5 V 0.509 0.745 0.776
6 V 0.990 0.743 0.277
7 P 0.074 0.752 0.598
8 P 0.425 0.752 0.098
9 P 0.574 0.247 0.904
10 P 0.924 0.246 0.404
11 O 0.183 0.757 0.461
12 O 0.187 0.559 0.673
13 O 0.225 0.957 0.663
14 O 0.237 0.226 0.397
15 O 0.261 0.227 0.897
16 O 0.271 0.956 0.162
17 O 0.313 0.558 0.173
18 O 0.316 0.757 0.960
19 O 0.683 0.242 0.041
20 O 0.688 0.441 0.829
21 O 0.726 0.042 0.839
22 O 0.738 0.774 0.105
23 O 0.761 0.772 0.605
24 O 0.771 0.040 0.340
25 O 0.811 0.439 0.328
26 O 0.816 0.243 0.542

Principal peaks in the range 5° ≤ 2θ ≤ 70°, by angle:
hkl 0 1 0, 6.145 Å, intensity 44
hkl 0 1 2, 3.992 Å, intensity 75
hkl 1 1 1, 3.594 Å, intensity 100
hkl 0 2 0, 3.073 Å, intensity 38
hkl 1 0 3, 2.870 Å, intensity 57
hkl 1 -1 3, 2.611 Å, intensity 94
hkl 1 2 -1, 2.535 Å, intensity 41
hkl 1 2 1, 2.522 Å, intensity 38
hkl 2 2 -2, 1.807 Å, intensity 31
hkl -2 2 2, 1.799 Å, intensity 32

=====

(2)
This entry pairs a crystal structure of Li9Mn2Co5O16 with its computed powder diffraction line list. Radiation: Cu Kα (λ = 1.5418 Å). Structure: DFT lattice parameters and positions (PBE+U).
Peak positions follow from Bragg's law for the DFT cell and can differ from measured ones.

abc: 5.156 11.565 5.159
angles: 90.00 111.13 90.00
Positions (direct):
1 Li 0.000 0.000 0.000
2 Li 0.000 0.119 0.500
3 Li 0.000 0.373 0.500
4 Li 0.000 0.631 0.500
5 Li 0.000 0.879 0.500
6 Li 0.500 0.005 0.500
7 Li 0.500 0.250 0.500
8 Li 0.500 0.495 0.500
9 Li 0.500 0.756 0.500
10 Mn 0.000 0.498 0.000
11 Mn 0.500 0.628 0.000
12 Co 0.000 0.245 0.000
13 Co 0.000 0.755 0.000
14 Co 0.500 0.126 0.000
15 Co 0.500 0.376 0.000
16 Co 0.500 0.881 0.000
17 O 0.228 0.379 0.233
18 O 0.248 0.627 0.208
19 O 0.248 0.868 0.214
20 O 0.266 0.131 0.215
21 O 0.267 0.743 0.759
22 O 0.270 0.252 0.782
23 O 0.279 0.009 0.765
24 O 0.282 0.502 0.767
25 O 0.718 0.502 0.233
26 O 0.721 0.009 0.235
27 O 0.730 0.252 0.218
28 O 0.733 0.743 0.241
29 O 0.734 0.131 0.785
30 O 0.752 0.627 0.792
31 O 0.752 0.868 0.786
32 O 0.772 0.379 0.767

Principal peaks in the range 5° ≤ 2θ ≤ 70°, by angle:
hkl 0 1 0, 11.565 Å, intensity 7
hkl 0 0 1, 4.812 Å, intensity 100
hkl 2 0 -1, 2.550 Å, intensity 15
hkl 1 4 0, 2.478 Å, intensity 25
hkl 0 0 2, 2.405 Å, intensity 8
hkl 2 0 -2, 2.127 Å, intensity 29
hkl 1 4 1, 2.053 Å, intensity 51
hkl 1 4 -2, 1.913 Å, intensity 9
hkl 1 4 2, 1.585 Å, intensity 9
hkl 3 4 -1, 1.477 Å, intensity 29